[1]
Rb3Ca2Cl7: theoretical powder diffraction line list (copper Kα), based on a cell relaxed with PBE.
Neutral-atom scattering factors, no anomalous dispersion.

Structural model:
Cell: 5.406 5.406 27.410 Å, 90.00 90.00 90.00°
Space group I4/mmm (No. 139)
One atom of each set of equivalent atoms:
Rb (0.000, 0.000, 0.000)
Rb (0.000, 0.000, 0.183)
Ca (0.000, 0.000, 0.400)
Cl (0.000, 0.000, 0.302)
Cl (0.000, 0.000, 0.500)
Cl (0.000, 0.500, 0.096)

Most intense lines, 2θ = 10–90°, in order of falling intensity:
hkl	d (Å)	2θ (°)	Rel. int.
2 0 0	2.703	33.14	100
1 1 6	2.932	30.49	86
1 1 0	3.823	23.27	67
1 0 5	3.849	23.11	63
2 0 10	1.925	47.22	48
0 0 10	2.741	32.67	37



[2]
CaCo2Ge2: theoretical powder diffraction line list (copper Kα), based on a cell relaxed with PBE.
Neutral-atom scattering factors, no anomalous dispersion.

Structural model:
Cell: 3.976 3.976 10.385 Å, 90.00 90.00 90.00°
Space group I4/mmm (No. 139)
One atom of each set of equivalent atoms:
Ca (0.000, 0.000, 0.000)
Co (0.000, 0.500, 0.250)
Ge (0.000, 0.000, 0.369)

Most intense lines, 2θ = 10–90°, in order of falling intensity:
hkl	d (Å)	2θ (°)	Rel. int.
1 0 3	2.611	34.35	100
2 0 0	1.988	45.64	85
1 1 4	1.907	47.68	80
1 1 2	2.472	36.34	78
0 0 2	5.193	17.08	49
2 1 3	1.582	58.35	41



[3]
Ca2Pr19Co3I36: theoretical powder diffraction line list (copper Kα), based on a cell relaxed with PBE.
Neutral-atom scattering factors, no anomalous dispersion.

Structural model:
Cell: 10.022 10.052 26.455 Å, 93.67 93.72 106.86°
Space group P-1 (No. 2)
One atom of each set of equivalent atoms:
Ca (0.167, 0.167, 0.333)
Pr (0.077, 0.874, 0.824)
Pr (0.093, 0.163, 0.933)
Pr (0.100, 0.829, 0.200)
Pr (0.235, 0.506, 0.467)
Pr (0.239, 0.168, 0.733)
Pr (0.256, 0.459, 0.842)
Pr (0.410, 0.205, 0.491)
Pr (0.427, 0.498, 0.601)
Pr (0.433, 0.160, 0.865)
Pr (0.500, 0.500, 0.000)
Co (0.167, 0.167, 0.833)
Co (0.500, 0.500, 0.500)
I (0.013, 0.167, 0.061)
I (0.037, 0.491, 0.191)
I (0.065, 0.837, 0.321)
I (0.089, 0.168, 0.447)
I (0.106, 0.498, 0.576)
I (0.137, 0.832, 0.705)
I (0.195, 0.504, 0.963)
I (0.227, 0.835, 0.091)
I (0.245, 0.166, 0.219)
I (0.269, 0.496, 0.346)
I (0.297, 0.842, 0.475)
I (0.321, 0.167, 0.606)
I (0.346, 0.500, 0.728)
I (0.370, 0.824, 0.858)
I (0.399, 0.169, 0.989)
I (0.419, 0.498, 0.114)
I (0.439, 0.831, 0.242)
I (0.470, 0.165, 0.372)

Most intense lines, 2θ = 10–90°, in order of falling intensity:
hkl	d (Å)	2θ (°)	Rel. int.
0 3 0	3.195	27.92	100
-1 3 8	2.274	39.63	53
3 -1 2	3.183	28.03	49
3 -4 2	2.237	40.32	35
2 1 -3	3.666	24.28	23
1 -1 0	8.073	10.96	22



[4]
Ca3Co3N5: theoretical powder diffraction line list (copper Kα), based on a cell relaxed with PBE.
Neutral-atom scattering factors, no anomalous dispersion.

Structural model:
Cell: 5.535 6.753 8.262 Å, 108.91 104.26 95.34°
Space group P-1 (No. 2)
One atom of each set of equivalent atoms:
Ca (0.158, 0.367, 0.370)
Ca (0.159, 0.167, 0.701)
Ca (0.317, 0.911, 0.111)
Co (0.187, 0.448, 0.062)
Co (0.396, 0.617, 0.787)
Co (0.414, 0.821, 0.474)
N (0.129, 0.551, 0.877)
N (0.248, 0.033, 0.404)
N (0.275, 0.731, 0.619)
N (0.320, 0.199, 0.016)
N (0.434, 0.612, 0.277)

Most intense lines, 2θ = 10–90°, in order of falling intensity:
hkl	d (Å)	2θ (°)	Rel. int.
0 2 1	2.580	34.77	100
1 0 -3	2.561	35.04	82
1 2 -2	2.664	33.64	60
2 -1 0	2.611	34.35	35
1 -1 2	2.877	31.08	34
0 1 0	6.274	14.12	32



[5]
Ca5Co2N6: theoretical powder diffraction line list (copper Kα), based on a cell relaxed with PBE.
Neutral-atom scattering factors, no anomalous dispersion.

Structural model:
Cell: 9.829 6.216 12.512 Å, 90.00 102.26 90.00°
Space group C2/c (No. 15)
One atom of each set of equivalent atoms:
Ca (0.000, 0.131, 0.250)
Ca (0.066, 0.240, 0.000)
Ca (0.159, 0.393, 0.723)
Co (0.228, 0.386, 0.434)
N (0.054, 0.462, 0.371)
N (0.145, 0.032, 0.645)
N (0.217, 0.054, 0.427)

Most intense lines, 2θ = 10–90°, in order of falling intensity:
hkl	d (Å)	2θ (°)	Rel. int.
3 1 1	2.663	33.65	100
3 1 -3	2.573	34.87	92
0 2 3	2.471	36.35	83
1 1 -1	5.013	17.69	52
6 0 -2	1.636	56.22	32
1 1 -4	2.781	32.19	27



[6]
Ca2CoN2: theoretical powder diffraction line list (copper Kα), based on a cell relaxed with PBE.
Neutral-atom scattering factors, no anomalous dispersion.

Structural model:
Cell: 3.562 3.562 12.214 Å, 90.00 90.00 90.00°
Space group I4/mmm (No. 139)
One atom of each set of equivalent atoms:
Ca (0.000, 0.000, 0.152)
Co (0.000, 0.000, 0.500)
N (0.000, 0.000, 0.356)

Most intense lines, 2θ = 10–90°, in order of falling intensity:
hkl	d (Å)	2θ (°)	Rel. int.
1 0 3	2.681	33.43	100
1 1 0	2.518	35.65	90
2 1 3	1.483	62.63	30
1 1 6	1.583	58.28	28
2 0 0	1.781	51.30	28
0 0 6	2.036	44.51	17